Diffraction record for Fe4As3O21. The powder diffraction line list is computed, not measured: it uses a crystal structure in Alexandria, relaxed with GGA+U and Cu Kα.
Kinematic intensities with the Lorentz-polarization factor, no thermal factor.

Structure:
Cell lengths 8.312, 8.312, 7.856 Å; angles 90.00, 90.00, 92.84 degrees
Fractional coordinates of all 28 atoms:
Fe: 0.133 0.867 0.000
Fe: 0.192 0.192 0.293
Fe: 0.808 0.808 0.293
Fe: 0.867 0.133 0.000
As: 0.000 0.000 0.634
As: 0.000 0.500 0.152
As: 0.500 0.000 0.152
O: 0.094 0.094 0.098
O: 0.107 0.638 0.032
O: 0.116 0.884 0.760
O: 0.121 0.121 0.508
O: 0.137 0.408 0.280
O: 0.286 0.714 0.468
O: 0.362 0.893 0.032
O: 0.371 0.629 0.556
O: 0.404 0.404 0.915
O: 0.408 0.137 0.280
O: 0.500 0.500 0.999
O: 0.592 0.863 0.280
O: 0.596 0.596 0.915
O: 0.629 0.371 0.556
O: 0.638 0.107 0.032
O: 0.714 0.286 0.468
O: 0.863 0.592 0.280
O: 0.879 0.879 0.508
O: 0.884 0.116 0.760
O: 0.893 0.362 0.032
O: 0.906 0.906 0.098

Most intense lines, 2θ = 10–90°, by angle:
Position (°2θ)	I_rel
10.66	100
11.26	86
18.57	29
19.17	95
26.11	45
26.99	20
27.53	34
31.22	15
31.35	30
35.57	18